No. 1
This entry pairs a crystal structure of SrHoCuSi3 with its simulated powder X-ray diffraction pattern. Radiation: Cu Kα X-rays. Structure: a structure optimized by DFT (GGA-PBE).

Most intense lines, 2θ from 15° to 90°, in order of rising 2θ:
| 2θ/deg | I/Imax | hkl |
| --- | --- | --- |
| 25.38 | 268 | 2 0 2 |
| 32.98 | 1000 | 2 2 2 |
| 33.09 | 498 | 0 2 4 |
| 44.90 | 318 | 2 0 6 |
| 56.69 | 209 | 4 2 4 |
| 63.27 | 224 | 2 4 6 |

Crystal structure
```
data_SrHoCuSi3
_space_group_name_H-M_alt 'F m m m'
_space_group_IT_number 69
_space_group_name_Hall '-F 2 2'
_cell_length_a 8.118
_cell_length_b 8.578
_cell_length_c 13.961
_cell_angle_alpha 90.00
_cell_angle_beta 90.00
_cell_angle_gamma 90.00
loop_
_atom_site_label
_atom_site_type_symbol
_atom_site_fract_x
_atom_site_fract_y
_atom_site_fract_z
Sr1 Sr 0.000 0.246 0.000
Ho1 Ho 0.250 0.250 0.250
Cu1 Cu 0.000 0.000 0.332
Si1 Si 0.000 0.000 0.171
Si2 Si 0.247 0.000 0.412
```

---

No. 2
This entry pairs a crystal structure of SrHoCuSi3 with its simulated powder X-ray diffraction pattern. Radiation: Cu Kα X-rays. Structure: a structure optimized by DFT (GGA-PBE).

Most intense lines, 2θ from 15° to 90°, in order of rising 2θ:
| 2θ/deg | I/Imax | hkl |
| --- | --- | --- |
| 25.41 | 274 | 2 0 2 |
| 32.90 | 517 | 0 2 4 |
| 33.12 | 1000 | 2 2 2 |
| 44.44 | 341 | 2 0 6 |
| 56.82 | 217 | 4 2 4 |
| 63.18 | 226 | 2 4 6 |

Crystal structure
```
data_SrHoCuSi3
_space_group_name_H-M_alt 'F m m m'
_space_group_IT_number 69
_space_group_name_Hall '-F 2 2'
_cell_length_a 8.065
_cell_length_b 8.507
_cell_length_c 14.175
_cell_angle_alpha 90.00
_cell_angle_beta 90.00
_cell_angle_gamma 90.00
loop_
_atom_site_label
_atom_site_type_symbol
_atom_site_fract_x
_atom_site_fract_y
_atom_site_fract_z
Sr1 Sr 0.250 0.250 0.250
Ho1 Ho 0.000 0.241 0.000
Cu1 Cu 0.000 0.000 0.335
Si1 Si 0.000 0.000 0.164
Si2 Si 0.244 0.000 0.418
```

---

No. 3
This entry pairs a crystal structure of TbHoCu2Si2 with its simulated powder X-ray diffraction pattern. Radiation: Cu Kα X-rays. Structure: a structure optimized by DFT (GGA-PBE).

Most intense lines, 2θ from 15° to 90°, in order of rising 2θ:
| 2θ/deg | I/Imax | hkl |
| --- | --- | --- |
| 24.88 | 324 | 1 0 0 |
| 34.64 | 1000 | 1 0 2 |
| 43.81 | 393 | 1 1 0 |
| 57.01 | 236 | 0 2 2 |
| 67.42 | 212 | 1 1 4 |
| 74.57 | 211 | 2 1 2 |

Crystal structure
```
data_TbHoCu2Si2
_space_group_name_H-M_alt 'P -3 m 1'
_space_group_IT_number 164
_space_group_name_Hall '-P 3 2"'
_cell_length_a 4.1329
_cell_length_b 4.1329
_cell_length_c 7.5042
_cell_angle_alpha 90.00
_cell_angle_beta 90.00
_cell_angle_gamma 120.00
loop_
_atom_site_label
_atom_site_type_symbol
_atom_site_fract_x
_atom_site_fract_y
_atom_site_fract_z
Tb1 Tb 0.0000 0.0000 0.0000
Ho1 Ho 0.0000 0.0000 0.5000
Cu1 Cu 0.3333 0.6667 0.2517
Si1 Si 0.3333 0.6667 0.7481
```

---

No. 4
This entry pairs a crystal structure of YHoCuSi3 with its simulated powder X-ray diffraction pattern. Radiation: Cu Kα X-rays. Structure: a structure optimized by DFT (GGA-PBE).

Most intense lines, 2θ from 15° to 90°, in order of rising 2θ:
| 2θ/deg | I/Imax | hkl |
| --- | --- | --- |
| 25.71 | 245 | 2 0 2 |
| 34.19 | 1000 | 0 2 4 |
| 45.38 | 338 | 4 0 0 |
| 58.02 | 213 | 4 2 4 |
| 65.92 | 213 | 4 4 0 |
| 76.58 | 185 | 2 2 10 |

Crystal structure
```
data_YHoCuSi3
_space_group_name_H-M_alt 'F m m m'
_space_group_IT_number 69
_space_group_name_Hall '-F 2 2'
_cell_length_a 7.997
_cell_length_b 8.036
_cell_length_c 13.842
_cell_angle_alpha 90.00
_cell_angle_beta 90.00
_cell_angle_gamma 90.00
loop_
_atom_site_label
_atom_site_type_symbol
_atom_site_fract_x
_atom_site_fract_y
_atom_site_fract_z
Y1 Y 0.250 0.250 0.250
Ho1 Ho 0.000 0.244 0.000
Cu1 Cu 0.000 0.000 0.333
Si1 Si 0.000 0.000 0.168
Si2 Si 0.244 0.000 0.416
```

---

No. 5
This entry pairs a crystal structure of Sr3HoCu with its simulated powder X-ray diffraction pattern. Radiation: Cu Kα X-rays. Structure: a structure optimized by DFT (GGA-PBE).

Most intense lines, 2θ from 15° to 90°, in order of rising 2θ:
| 2θ/deg | I/Imax | hkl |
| --- | --- | --- |
| 23.66 | 280 | 0 0 2 |
| 25.88 | 829 | 2 0 0 |
| 35.35 | 1000 | 2 0 2 |
| 45.65 | 284 | 2 2 0 |
| 59.02 | 223 | 4 0 2 |
| 77.65 | 201 | 4 2 2 |

Crystal structure
```
data_Sr3HoCu
_space_group_name_H-M_alt 'P 6/m m m'
_space_group_IT_number 191
_space_group_name_Hall '-P 6 2'
_cell_length_a 7.9499
_cell_length_b 7.9499
_cell_length_c 7.5216
_cell_angle_alpha 90.00
_cell_angle_beta 90.00
_cell_angle_gamma 120.00
loop_
_atom_site_label
_atom_site_type_symbol
_atom_site_fract_x
_atom_site_fract_y
_atom_site_fract_z
Sr1 Sr 0.0000 0.5000 0.2447
Ho1 Ho 0.0000 0.0000 0.2334
Cu1 Cu 0.3333 0.6667 0.5000
```

---

No. 6
This entry pairs a crystal structure of TbHoCu6 with its simulated powder X-ray diffraction pattern. Radiation: Cu Kα X-rays. Structure: a structure optimized by DFT (GGA-PBE).

Most intense lines, 2θ from 15° to 90°, in order of rising 2θ:
| 2θ/deg | I/Imax | hkl |
| --- | --- | --- |
| 25.55 | 194 | 1 1 0 |
| 31.04 | 162 | 1 1 1 |
| 35.61 | 221 | 0 2 1 |
| 38.49 | 185 | 0 1 2 |
| 40.91 | 360 | 1 0 2 |
| 41.36 | 1000 | 2 0 0 |

Crystal structure
```
data_TbHoCu6
_space_group_name_H-M_alt 'P m m 2'
_space_group_IT_number 25
_space_group_name_Hall 'P 2 -2'
_cell_length_a 4.365
_cell_length_b 5.796
_cell_length_c 5.113
_cell_angle_alpha 90.00
_cell_angle_beta 90.00
_cell_angle_gamma 90.00
loop_
_atom_site_label
_atom_site_type_symbol
_atom_site_fract_x
_atom_site_fract_y
_atom_site_fract_z
Tb1 Tb 0.000 0.000 0.000
Ho1 Ho 0.500 0.500 0.726
Cu1 Cu 0.000 0.227 0.501
Cu2 Cu 0.000 0.500 0.117
Cu3 Cu 0.500 0.000 0.598
Cu4 Cu 0.500 0.279 0.225
```